For CuBr2O12, the PBE geometry in the Materials Project gives the computed powder diffraction line list in this record (Cu Kα, 1.54184 Å).
Neutral-atom scattering factors, no anomalous dispersion.

Structure:
a = 9.6564 Å, b = 9.6564 Å, c = 9.6564 Å
α = 90.00°, β = 90.00°, γ = 90.00°
Fractional coordinates of all 60 atoms:
Cu  0.0000  0.0000  0.0000
Cu  0.0000  0.5000  0.5000
Cu  0.5000  0.0000  0.5000
Cu  0.5000  0.5000  0.0000
Br  0.2370  0.7370  0.7630
Br  0.2370  0.7630  0.2630
Br  0.2630  0.2370  0.7630
Br  0.2630  0.2630  0.2630
Br  0.7370  0.7370  0.7370
Br  0.7370  0.7630  0.2370
Br  0.7630  0.2370  0.7370
Br  0.7630  0.2630  0.2370
O  0.0433  0.6898  0.4474
O  0.0433  0.8102  0.9474
O  0.0526  0.5433  0.6898
O  0.0526  0.9567  0.1898
O  0.1218  0.1580  0.6907
O  0.1218  0.3420  0.1907
O  0.1580  0.6907  0.1218
O  0.1580  0.8093  0.6218
O  0.1898  0.0526  0.9567
O  0.1898  0.4474  0.4567
O  0.1907  0.1218  0.3420
O  0.1907  0.3782  0.8420
O  0.3093  0.6218  0.3420
O  0.3093  0.8782  0.8420
O  0.3102  0.5526  0.9567
O  0.3102  0.9474  0.4567
O  0.3420  0.1907  0.1218
O  0.3420  0.3093  0.6218
O  0.3782  0.6580  0.6907
O  0.3782  0.8420  0.1907
O  0.4474  0.0433  0.6898
O  0.4474  0.4567  0.1898
O  0.4567  0.1898  0.4474
O  0.4567  0.3102  0.9474
O  0.5433  0.6898  0.0526
O  0.5433  0.8102  0.5526
O  0.5526  0.5433  0.8102
O  0.5526  0.9567  0.3102
O  0.6218  0.1580  0.8093
O  0.6218  0.3420  0.3093
O  0.6580  0.6907  0.3782
O  0.6580  0.8093  0.8782
O  0.6898  0.0526  0.5433
O  0.6898  0.4474  0.0433
O  0.6907  0.1218  0.1580
O  0.6907  0.3782  0.6580
O  0.8093  0.6218  0.1580
O  0.8093  0.8782  0.6580
O  0.8102  0.5526  0.5433
O  0.8102  0.9474  0.0433
O  0.8420  0.1907  0.3782
O  0.8420  0.3093  0.8782
O  0.8782  0.6580  0.8093
O  0.8782  0.8420  0.3093
O  0.9474  0.0433  0.8102
O  0.9474  0.4567  0.3102
O  0.9567  0.1898  0.0526
O  0.9567  0.3102  0.5526

The 10 most intense peaks (2θ from 15° to 90°), low angle first:
- 2θ = 15.90°, I 37
- 2θ = 18.38°, I 25
- 2θ = 26.10°, I 100
- 2θ = 30.71°, I 18
- 2θ = 32.11°, I 15
- 2θ = 37.25°, I 16
- 2θ = 46.05°, I 34
- 2θ = 53.69°, I 15
- 2θ = 60.65°, I 17
- 2θ = 73.37°, I 20

---

For CuBrO2, the PBE geometry in the Materials Project gives the computed powder diffraction line list in this record (Cu Kα, 1.54184 Å).
Neutral-atom scattering factors, no anomalous dispersion.

Structure:
a = 3.6528 Å, b = 6.7677 Å, c = 6.8737 Å
α = 70.36°, β = 88.91°, γ = 86.72°
Fractional coordinates of all 8 atoms:
Cu  0.0000  0.0000  0.0000
Cu  0.4486  0.3327  0.3533
Br  0.5192  0.8642  0.8541
Br  0.9291  0.4761  0.4920
O  0.1761  0.1009  0.3487
O  0.2880  0.9910  0.2331
O  0.6746  0.2287  0.0074
O  0.7548  0.3386  0.1230

The 10 most intense peaks (2θ from 15° to 90°), low angle first:
- 2θ = 15.92°, I 44
- 2θ = 22.64°, I 100
- 2θ = 27.55°, I 24
- 2θ = 28.04°, I 26
- 2θ = 28.62°, I 21
- 2θ = 29.91°, I 27
- 2θ = 37.14°, I 30
- 2θ = 39.80°, I 20
- 2θ = 41.73°, I 20
- 2θ = 46.18°, I 19

---

For CuBrO2, the PBE geometry in the Materials Project gives the computed powder diffraction line list in this record (Cu Kα, 1.54184 Å).
Neutral-atom scattering factors, no anomalous dispersion.

Structure:
a = 3.7747 Å, b = 3.7747 Å, c = 6.0504 Å
α = 97.79°, β = 97.79°, γ = 46.27°
Fractional coordinates of all 4 atoms:
Cu  0.0000  0.0000  0.0000
Br  0.5000  0.5000  0.5000
O  0.4179  0.4179  0.1662
O  0.5821  0.5821  0.8338

The 10 most intense peaks (2θ from 15° to 90°), low angle first:
- 2θ = 25.95°, I 100
- 2θ = 29.86°, I 44
- 2θ = 35.41°, I 69
- 2θ = 36.82°, I 19
- 2θ = 37.06°, I 40
- 2θ = 42.92°, I 24
- 2θ = 50.92°, I 32
- 2θ = 54.60°, I 13
- 2θ = 55.49°, I 25
- 2θ = 58.98°, I 20

---

For CuBr2O8, the PBE geometry in the Materials Project gives the computed powder diffraction line list in this record (Cu Kα, 1.54184 Å).
Neutral-atom scattering factors, no anomalous dispersion.

Structure:
a = 6.7605 Å, b = 9.2352 Å, c = 12.1067 Å
α = 90.00°, β = 90.00°, γ = 90.00°
Fractional coordinates of all 44 atoms:
Cu  0.0000  0.0000  0.0000
Cu  0.0000  0.5000  0.5000
Cu  0.5000  0.0000  0.5000
Cu  0.5000  0.5000  0.0000
Br  0.2478  0.2212  0.1500
Br  0.2478  0.2788  0.6500
Br  0.2522  0.7212  0.1500
Br  0.2522  0.7788  0.6500
Br  0.7478  0.2212  0.3500
Br  0.7478  0.2788  0.8500
Br  0.7522  0.7212  0.3500
Br  0.7522  0.7788  0.8500
O  0.0492  0.1904  0.0501
O  0.0492  0.3096  0.5501
O  0.1445  0.1981  0.2716
O  0.1445  0.3019  0.7716
O  0.1993  0.0301  0.9100
O  0.1993  0.4699  0.4100
O  0.2366  0.6014  0.6272
O  0.2366  0.8986  0.1272
O  0.2634  0.1014  0.6272
O  0.2634  0.3986  0.1272
O  0.3007  0.5301  0.9100
O  0.3007  0.9699  0.4100
O  0.3555  0.6981  0.2716
O  0.3555  0.8019  0.7716
O  0.4508  0.6904  0.0501
O  0.4508  0.8096  0.5501
O  0.5492  0.1904  0.4499
O  0.5492  0.3096  0.9499
O  0.6445  0.1981  0.2284
O  0.6445  0.3019  0.7284
O  0.6993  0.0301  0.5900
O  0.6993  0.4699  0.0900
O  0.7366  0.6014  0.8728
O  0.7366  0.8986  0.3728
O  0.7634  0.1014  0.8728
O  0.7634  0.3986  0.3728
O  0.8007  0.5301  0.5900
O  0.8007  0.9699  0.0900
O  0.8555  0.6981  0.2284
O  0.8555  0.8019  0.7284
O  0.9508  0.6904  0.4499
O  0.9508  0.8096  0.9499

The 10 most intense peaks (2θ from 15° to 90°), low angle first:
- 2θ = 17.83°, I 82
- 2θ = 19.69°, I 100
- 2θ = 24.24°, I 44
- 2θ = 27.49°, I 19
- 2θ = 27.65°, I 89
- 2θ = 30.28°, I 26
- 2θ = 32.83°, I 37
- 2θ = 39.98°, I 40
- 2θ = 56.74°, I 23
- 2θ = 66.49°, I 20

---

For Cu2BrO3, the PBE geometry in the Materials Project gives the computed powder diffraction line list in this record (Cu Kα, 1.54184 Å).
Neutral-atom scattering factors, no anomalous dispersion.

Structure:
a = 5.4193 Å, b = 5.8922 Å, c = 5.6961 Å
α = 90.00°, β = 91.98°, γ = 90.00°
Fractional coordinates of all 12 atoms:
Cu  0.0000  0.0000  0.0000
Cu  0.0000  0.5000  0.0000
Cu  0.4981  0.2500  0.9928
Cu  0.5019  0.7500  0.0072
Br  0.2073  0.7500  0.3863
Br  0.7927  0.2500  0.6137
O  0.1116  0.2500  0.1626
O  0.3159  0.5073  0.8705
O  0.3159  0.9927  0.8705
O  0.6841  0.0073  0.1295
O  0.6841  0.4927  0.1295
O  0.8884  0.7500  0.8374

The 10 most intense peaks (2θ from 15° to 90°), low angle first:
- 2θ = 15.57°, I 100
- 2θ = 22.29°, I 34
- 2θ = 31.43°, I 29
- 2θ = 35.05°, I 29
- 2θ = 36.23°, I 66
- 2θ = 38.44°, I 88
- 2θ = 47.08°, I 39
- 2θ = 47.93°, I 25
- 2θ = 60.11°, I 23
- 2θ = 61.03°, I 21

---

For CuBrO2, the PBE geometry in the Materials Project gives the computed powder diffraction line list in this record (Cu Kα, 1.54184 Å).
Neutral-atom scattering factors, no anomalous dispersion.

Structure:
a = 6.2223 Å, b = 6.2223 Å, c = 6.2223 Å
α = 29.78°, β = 29.78°, γ = 29.78°
Fractional coordinates of all 4 atoms:
Cu  0.0000  0.0000  0.0000
Br  0.5000  0.5000  0.5000
O  0.3877  0.3877  0.3877
O  0.6123  0.6123  0.6123

The 10 most intense peaks (2θ from 15° to 90°), low angle first:
- 2θ = 30.08°, I 34
- 2θ = 33.89°, I 100
- 2θ = 38.26°, I 42
- 2θ = 52.73°, I 34
- 2θ = 57.65°, I 27
- 2θ = 61.90°, I 19
- 2θ = 66.39°, I 21
- 2θ = 68.58°, I 12
- 2θ = 71.32°, I 7
- 2θ = 81.91°, I 8

---

For CuPb2Br2O2, the PBE geometry in the Materials Project gives the computed powder diffraction line list in this record (Cu Kα, 1.54184 Å).
Neutral-atom scattering factors, no anomalous dispersion.

Structure:
a = 5.5790 Å, b = 5.4298 Å, c = 12.3309 Å
α = 90.00°, β = 90.00°, γ = 90.00°
Fractional coordinates of all 14 atoms:
Cu  0.2500  0.0000  0.0825
Cu  0.7500  0.0000  0.9175
Pb  0.2500  0.0000  0.6025
Pb  0.2500  0.5000  0.3983
Pb  0.7500  0.0000  0.3975
Pb  0.7500  0.5000  0.6017
Br  0.2500  0.0000  0.8885
Br  0.2500  0.5000  0.1223
Br  0.7500  0.0000  0.1115
Br  0.7500  0.5000  0.8777
O  0.0000  0.2500  0.5000
O  0.0000  0.7500  0.5000
O  0.5000  0.2500  0.5000
O  0.5000  0.7500  0.5000

The 10 most intense peaks (2θ from 15° to 90°), low angle first:
- 2θ = 23.98°, I 100
- 2θ = 27.10°, I 59
- 2θ = 28.96°, I 38
- 2θ = 31.66°, I 97
- 2θ = 32.09°, I 44
- 2θ = 32.99°, I 43
- 2θ = 43.77°, I 32
- 2θ = 44.47°, I 31
- 2θ = 46.69°, I 38
- 2θ = 55.88°, I 25

---

For Sr2CuBrO2, the PBE geometry in the Materials Project gives the computed powder diffraction line list in this record (Cu Kα, 1.54184 Å).
Neutral-atom scattering factors, no anomalous dispersion.

Structure:
a = 9.8349 Å, b = 9.8349 Å, c = 9.8349 Å
α = 23.91°, β = 23.91°, γ = 23.91°
Fractional coordinates of all 6 atoms:
Sr  0.2470  0.2470  0.2470
Sr  0.7530  0.7530  0.7530
Cu  0.0000  0.0000  0.0000
Br  0.5000  0.5000  0.5000
O  0.0636  0.0636  0.0636
O  0.9364  0.9364  0.9364

The 10 most intense peaks (2θ from 15° to 90°), low angle first:
- 2θ = 28.19°, I 100
- 2θ = 35.72°, I 43
- 2θ = 37.68°, I 15
- 2θ = 44.46°, I 34
- 2θ = 53.48°, I 16
- 2θ = 57.74°, I 14
- 2θ = 58.29°, I 10
- 2θ = 59.66°, I 23
- 2θ = 72.01°, I 13
- 2θ = 76.16°, I 10

---

For Sr2Cu3Br2O4, the PBE geometry in the Materials Project gives the computed powder diffraction line list in this record (Cu Kα, 1.54184 Å).
Neutral-atom scattering factors, no anomalous dispersion.

Structure:
a = 7.8828 Å, b = 7.8828 Å, c = 7.8828 Å
α = 139.02°, β = 139.02°, γ = 59.35°
Fractional coordinates of all 11 atoms:
Sr  0.1306  0.1306  0.0000
Sr  0.8694  0.8694  0.0000
Cu  0.0000  0.5000  0.5000
Cu  0.5000  0.0000  0.5000
Cu  0.5000  0.5000  0.0000
Br  0.2500  0.7500  0.5000
Br  0.7500  0.2500  0.5000
O  0.2502  0.2502  0.5003
O  0.2502  0.7498  0.0000
O  0.7498  0.2502  0.0000
O  0.7498  0.7498  0.4997

The 10 most intense peaks (2θ from 15° to 90°), low angle first:
- 2θ = 25.32°, I 59
- 2θ = 26.02°, I 24
- 2θ = 32.45°, I 84
- 2θ = 34.86°, I 100
- 2θ = 36.62°, I 15
- 2θ = 41.60°, I 31
- 2θ = 46.54°, I 48
- 2θ = 59.44°, I 41
- 2θ = 63.99°, I 23
- 2θ = 73.60°, I 22

---

For Sr2Cu2TeBr2O6, the PBE geometry in the Materials Project gives the computed powder diffraction line list in this record (Cu Kα, 1.54184 Å).
Neutral-atom scattering factors, no anomalous dispersion.

Structure:
a = 9.5569 Å, b = 5.2577 Å, c = 9.4941 Å
α = 90.00°, β = 95.35°, γ = 90.00°
Fractional coordinates of all 26 atoms:
Sr  0.2226  0.1023  0.3179
Sr  0.2226  0.3977  0.8179
Sr  0.7774  0.6023  0.1821
Sr  0.7774  0.8977  0.6821
Cu  0.4191  0.5173  0.1353
Cu  0.4191  0.9827  0.6353
Cu  0.5809  0.0173  0.3647
Cu  0.5809  0.4827  0.8647
Te  0.5000  0.0000  0.0000
Te  0.5000  0.5000  0.5000
Br  0.1113  0.6117  0.1636
Br  0.1113  0.8883  0.6636
Br  0.8887  0.1117  0.3364
Br  0.8887  0.3883  0.8364
O  0.3361  0.1873  0.0583
O  0.3361  0.3127  0.5583
O  0.3835  0.7020  0.9543
O  0.3835  0.7980  0.4543
O  0.4670  0.1685  0.8119
O  0.4670  0.3315  0.3119
O  0.5330  0.6685  0.6881
O  0.5330  0.8315  0.1881
O  0.6165  0.2020  0.5457
O  0.6165  0.2980  0.0457
O  0.6639  0.6873  0.4417
O  0.6639  0.8127  0.9417

The 10 most intense peaks (2θ from 15° to 90°), low angle first:
- 2θ = 20.18°, I 21
- 2θ = 21.80°, I 51
- 2θ = 25.32°, I 41
- 2θ = 28.13°, I 25
- 2θ = 32.50°, I 34
- 2θ = 33.15°, I 100
- 2θ = 33.60°, I 57
- 2θ = 35.10°, I 24
- 2θ = 35.44°, I 40
- 2θ = 41.93°, I 24

---

Please write out number 10 again, unchanged.
For Sr2Cu2TeBr2O6, the PBE geometry in the Materials Project gives the computed powder diffraction line list in this record (Cu Kα, 1.54184 Å).
Neutral-atom scattering factors, no anomalous dispersion.

Structure:
a = 9.5569 Å, b = 5.2577 Å, c = 9.4941 Å
α = 90.00°, β = 95.35°, γ = 90.00°
Fractional coordinates of all 26 atoms:
Sr  0.2226  0.1023  0.3179
Sr  0.2226  0.3977  0.8179
Sr  0.7774  0.6023  0.1821
Sr  0.7774  0.8977  0.6821
Cu  0.4191  0.5173  0.1353
Cu  0.4191  0.9827  0.6353
Cu  0.5809  0.0173  0.3647
Cu  0.5809  0.4827  0.8647
Te  0.5000  0.0000  0.0000
Te  0.5000  0.5000  0.5000
Br  0.1113  0.6117  0.1636
Br  0.1113  0.8883  0.6636
Br  0.8887  0.1117  0.3364
Br  0.8887  0.3883  0.8364
O  0.3361  0.1873  0.0583
O  0.3361  0.3127  0.5583
O  0.3835  0.7020  0.9543
O  0.3835  0.7980  0.4543
O  0.4670  0.1685  0.8119
O  0.4670  0.3315  0.3119
O  0.5330  0.6685  0.6881
O  0.5330  0.8315  0.1881
O  0.6165  0.2020  0.5457
O  0.6165  0.2980  0.0457
O  0.6639  0.6873  0.4417
O  0.6639  0.8127  0.9417

The 10 most intense peaks (2θ from 15° to 90°), low angle first:
- 2θ = 20.18°, I 21
- 2θ = 21.80°, I 51
- 2θ = 25.32°, I 41
- 2θ = 28.13°, I 25
- 2θ = 32.50°, I 34
- 2θ = 33.15°, I 100
- 2θ = 33.60°, I 57
- 2θ = 35.10°, I 24
- 2θ = 35.44°, I 40
- 2θ = 41.93°, I 24